# 1
For Pa2Te5, a DFT-relaxed cell (GGA-PBE, Alexandria) gives the calculated XRD peak list in this record (copper Kα).

Atomic structure:
```
data_Pa2Te5
_chemical_formula_sum 'Pa4 Te10'
_cell_length_a 21.5174
_cell_length_b 21.5174
_cell_length_c 4.4827
_cell_angle_alpha 90.00
_cell_angle_beta 90.00
_cell_angle_gamma 168.05
_symmetry_space_group_name_H-M 'P 1'
_symmetry_Int_Tables_number 1
_symmetry_space_group_name_Hall 'P 1'
loop_
_atom_site_label
_atom_site_type_symbol
_atom_site_fract_x
_atom_site_fract_y
_atom_site_fract_z
Pa1 Pa 0.0988 0.9012 0.7500
Pa2 Pa 0.3038 0.6962 0.7500
Pa3 Pa 0.6962 0.3038 0.2500
Pa4 Pa 0.9012 0.0988 0.2500
Te1 Te 0.0471 0.9529 0.2500
Te2 Te 0.1755 0.8245 0.7500
Te3 Te 0.2500 0.7500 0.2500
Te4 Te 0.3784 0.6216 0.7500
Te5 Te 0.4529 0.5471 0.2500
Te6 Te 0.5471 0.4529 0.7500
Te7 Te 0.6216 0.3784 0.2500
Te8 Te 0.7500 0.2500 0.7500
Te9 Te 0.8245 0.1755 0.2500
Te10 Te 0.9529 0.0471 0.7500
```

Most intense lines, 2θ = 5–70°, by intensity:
2θ 30.1, I 100; 2θ 40.3, I 85; 2θ 34.0, I 84; 2θ 36.6, I 51; 2θ 28.2, I 45; 2θ 29.2, I 30; 2θ 37.4, I 30; 2θ 35.5, I 29; 2θ 58.2, I 29; 2θ 50.5, I 26


# 2
For Pa3Te4, a DFT-relaxed cell (GGA-PBE, Alexandria) gives the calculated XRD peak list in this record (copper Kα).

Atomic structure:
```
data_Pa3Te4
_chemical_formula_sum 'Pa6 Te8'
_cell_length_a 7.9568
_cell_length_b 7.9568
_cell_length_c 7.9568
_cell_angle_alpha 109.47
_cell_angle_beta 109.47
_cell_angle_gamma 109.47
_symmetry_space_group_name_H-M 'P 1'
_symmetry_Int_Tables_number 1
_symmetry_space_group_name_Hall 'P 1'
loop_
_atom_site_label
_atom_site_type_symbol
_atom_site_fract_x
_atom_site_fract_y
_atom_site_fract_z
Pa1 Pa 0.1250 0.7500 0.8750
Pa2 Pa 0.2500 0.6250 0.3750
Pa3 Pa 0.3750 0.2500 0.6250
Pa4 Pa 0.6250 0.3750 0.2500
Pa5 Pa 0.7500 0.8750 0.1250
Pa6 Pa 0.8750 0.1250 0.7500
Te1 Te 0.0000 0.3449 0.5000
Te2 Te 0.0000 0.8449 0.5000
Te3 Te 0.1551 0.1551 0.1551
Te4 Te 0.3449 0.5000 0.0000
Te5 Te 0.5000 0.0000 0.3449
Te6 Te 0.5000 0.0000 0.8449
Te7 Te 0.6551 0.6551 0.6551
Te8 Te 0.8449 0.5000 0.0000
```

Most intense lines, 2θ = 5–70°, by intensity:
2θ 30.8, I 100; 2θ 36.6, I 71; 2θ 62.3, I 33; 2θ 23.7, I 27; 2θ 44.1, I 26; 2θ 50.7, I 18; 2θ 46.4, I 17; 2θ 65.9, I 16; 2θ 48.5, I 12; 2θ 64.1, I 10


# 3
For Pa5Te6, a DFT-relaxed cell (GGA-PBE, Alexandria) gives the calculated XRD peak list in this record (copper Kα).

Atomic structure:
```
data_Pa5Te6
_chemical_formula_sum 'Pa5 Te6'
_cell_length_a 7.3541
_cell_length_b 7.3541
_cell_length_c 7.2015
_cell_angle_alpha 99.55
_cell_angle_beta 99.55
_cell_angle_gamma 116.43
_symmetry_space_group_name_H-M 'P 1'
_symmetry_Int_Tables_number 1
_symmetry_space_group_name_Hall 'P 1'
loop_
_atom_site_label
_atom_site_type_symbol
_atom_site_fract_x
_atom_site_fract_y
_atom_site_fract_z
Pa1 Pa 0.0000 0.0000 0.0000
Pa2 Pa 0.1584 0.8416 0.5000
Pa3 Pa 0.3142 0.6858 0.0000
Pa4 Pa 0.6858 0.3142 0.0000
Pa5 Pa 0.8416 0.1584 0.5000
Te1 Te 0.1210 0.4289 0.2747
Te2 Te 0.2768 0.2768 0.7558
Te3 Te 0.4289 0.1210 0.2747
Te4 Te 0.5711 0.8790 0.7253
Te5 Te 0.7232 0.7232 0.2442
Te6 Te 0.8790 0.5711 0.7253
```

Most intense lines, 2θ = 5–70°, by intensity:
2θ 29.6, I 100; 2θ 43.5, I 33; 2θ 41.2, I 26; 2θ 41.3, I 13; 2θ 53.4, I 11; 2θ 49.6, I 8; 2θ 61.5, I 8; 2θ 37.4, I 8; 2θ 53.6, I 7; 2θ 67.9, I 6


# 4
For ThPaTe3, a DFT-relaxed cell (GGA-PBE, Alexandria) gives the calculated XRD peak list in this record (copper Kα).

Atomic structure:
```
data_ThPaTe3
_chemical_formula_sum 'Th2 Pa2 Te6'
_cell_length_a 7.8544
_cell_length_b 7.8544
_cell_length_c 11.4763
_cell_angle_alpha 105.64
_cell_angle_beta 105.64
_cell_angle_gamma 29.99
_symmetry_space_group_name_H-M 'P 1'
_symmetry_Int_Tables_number 1
_symmetry_space_group_name_Hall 'P 1'
loop_
_atom_site_label
_atom_site_type_symbol
_atom_site_fract_x
_atom_site_fract_y
_atom_site_fract_z
Th1 Th 0.0251 0.0251 0.3493
Th2 Th 0.9749 0.9749 0.6507
Pa1 Pa 0.2573 0.2573 0.1521
Pa2 Pa 0.7427 0.7427 0.8479
Te1 Te 0.1071 0.1071 0.9128
Te2 Te 0.3639 0.3639 0.7658
Te3 Te 0.3790 0.3790 0.4218
Te4 Te 0.6210 0.6210 0.5782
Te5 Te 0.6361 0.6361 0.2342
Te6 Te 0.8929 0.8929 0.0872
```

Most intense lines, 2θ = 5–70°, by intensity:
2θ 30.3, I 100; 2θ 30.1, I 70; 2θ 40.7, I 53; 2θ 28.3, I 42; 2θ 16.4, I 39; 2θ 28.6, I 35; 2θ 12.6, I 35; 2θ 32.1, I 35; 2θ 38.3, I 30; 2θ 38.5, I 30


# 5
For Th2PaTe6, a DFT-relaxed cell (GGA-PBE, Alexandria) gives the calculated XRD peak list in this record (copper Kα).

Atomic structure:
```
data_Th2PaTe6
_chemical_formula_sum 'Th4 Pa2 Te12'
_cell_length_a 7.3759
_cell_length_b 7.3759
_cell_length_c 13.7890
_cell_angle_alpha 90.00
_cell_angle_beta 90.00
_cell_angle_gamma 90.00
_symmetry_space_group_name_H-M 'P 1'
_symmetry_Int_Tables_number 1
_symmetry_space_group_name_Hall 'P 1'
loop_
_atom_site_label
_atom_site_type_symbol
_atom_site_fract_x
_atom_site_fract_y
_atom_site_fract_z
Th1 Th 0.0000 0.0000 0.1674
Th2 Th 0.0000 0.0000 0.8326
Th3 Th 0.5000 0.5000 0.3326
Th4 Th 0.5000 0.5000 0.6674
Pa1 Pa 0.0000 0.0000 0.5000
Pa2 Pa 0.5000 0.5000 0.0000
Te1 Te 0.1983 0.1983 0.3362
Te2 Te 0.1983 0.1983 0.6638
Te3 Te 0.2020 0.2020 0.0000
Te4 Te 0.2980 0.7020 0.5000
Te5 Te 0.3017 0.6983 0.1638
Te6 Te 0.3017 0.6983 0.8362
Te7 Te 0.6983 0.3017 0.1638
Te8 Te 0.6983 0.3017 0.8362
Te9 Te 0.7020 0.2980 0.5000
Te10 Te 0.7980 0.7980 0.0000
Te11 Te 0.8017 0.8017 0.3362
Te12 Te 0.8017 0.8017 0.6638
```

Most intense lines, 2θ = 5–70°, by intensity:
2θ 33.4, I 100; 2θ 17.0, I 96; 2θ 41.7, I 61; 2θ 25.8, I 60; 2θ 34.4, I 42; 2θ 22.8, I 33; 2θ 53.1, I 25; 2θ 39.2, I 22; 2θ 27.0, I 21; 2θ 43.0, I 19


# 6
For PaTl2Te5, a DFT-relaxed cell (GGA-PBE, Alexandria) gives the calculated XRD peak list in this record (copper Kα).

Atomic structure:
```
data_PaTl2Te5
_chemical_formula_sum 'Pa1 Tl2 Te5'
_cell_length_a 9.3930
_cell_length_b 9.3930
_cell_length_c 8.9218
_cell_angle_alpha 118.20
_cell_angle_beta 118.20
_cell_angle_gamma 38.68
_symmetry_space_group_name_H-M 'P 1'
_symmetry_Int_Tables_number 1
_symmetry_space_group_name_Hall 'P 1'
loop_
_atom_site_label
_atom_site_type_symbol
_atom_site_fract_x
_atom_site_fract_y
_atom_site_fract_z
Pa1 Pa 0.0000 0.0000 0.0000
Tl1 Tl 0.2230 0.2230 0.7223
Tl2 Tl 0.7127 0.7127 0.2107
Te1 Te 0.3306 0.8172 0.8206
Te2 Te 0.3313 0.8177 0.3265
Te3 Te 0.8143 0.8143 0.8156
Te4 Te 0.8172 0.3306 0.8206
Te5 Te 0.8177 0.3313 0.3265
```

Most intense lines, 2θ = 5–70°, by intensity:
2θ 11.5, I 100; 2θ 20.9, I 80; 2θ 35.2, I 59; 2θ 23.1, I 40; 2θ 31.0, I 28; 2θ 30.8, I 27; 2θ 30.7, I 25; 2θ 37.2, I 24; 2θ 35.4, I 22; 2θ 39.4, I 21


# 7
For YPa3Tl3Te8, a DFT-relaxed cell (GGA-PBE, Alexandria) gives the calculated XRD peak list in this record (copper Kα).

Atomic structure:
```
data_YPa3Tl3Te8
_chemical_formula_sum 'Y1 Pa3 Tl3 Te8'
_cell_length_a 9.8484
_cell_length_b 9.8484
_cell_length_c 9.8484
_cell_angle_alpha 52.26
_cell_angle_beta 52.26
_cell_angle_gamma 52.26
_symmetry_space_group_name_H-M 'P 1'
_symmetry_Int_Tables_number 1
_symmetry_space_group_name_Hall 'P 1'
loop_
_atom_site_label
_atom_site_type_symbol
_atom_site_fract_x
_atom_site_fract_y
_atom_site_fract_z
Y1 Y 0.0000 0.0000 0.0000
Pa1 Pa 0.0000 0.5000 0.5000
Pa2 Pa 0.5000 0.0000 0.5000
Pa3 Pa 0.5000 0.5000 0.0000
Tl1 Tl 0.0000 0.0000 0.5000
Tl2 Tl 0.0000 0.5000 0.0000
Tl3 Tl 0.5000 0.0000 0.0000
Te1 Te 0.2394 0.2394 0.7375
Te2 Te 0.2394 0.7375 0.2394
Te3 Te 0.2601 0.2601 0.2601
Te4 Te 0.2625 0.7606 0.7606
Te5 Te 0.7375 0.2394 0.2394
Te6 Te 0.7399 0.7399 0.7399
Te7 Te 0.7606 0.2625 0.7606
Te8 Te 0.7606 0.7606 0.2625
```

Most intense lines, 2θ = 5–70°, by intensity:
2θ 27.6, I 100; 2θ 37.0, I 42; 2θ 41.6, I 34; 2θ 50.7, I 19; 2θ 61.1, I 17; 2θ 67.6, I 16; 2θ 56.9, I 13; 2θ 13.7, I 10; 2θ 42.7, I 9; 2θ 10.4, I 8


# 8
For Pa3Tl3ZnTe8, a DFT-relaxed cell (GGA-PBE, Alexandria) gives the calculated XRD peak list in this record (copper Kα).

Atomic structure:
```
data_Pa3Tl3ZnTe8
_chemical_formula_sum 'Pa3 Tl3 Zn1 Te8'
_cell_length_a 9.7658
_cell_length_b 9.7658
_cell_length_c 9.7658
_cell_angle_alpha 53.03
_cell_angle_beta 53.03
_cell_angle_gamma 53.03
_symmetry_space_group_name_H-M 'P 1'
_symmetry_Int_Tables_number 1
_symmetry_space_group_name_Hall 'P 1'
loop_
_atom_site_label
_atom_site_type_symbol
_atom_site_fract_x
_atom_site_fract_y
_atom_site_fract_z
Pa1 Pa 0.0000 0.5000 0.5000
Pa2 Pa 0.5000 0.0000 0.5000
Pa3 Pa 0.5000 0.5000 0.0000
Tl1 Tl 0.0000 0.0000 0.5000
Tl2 Tl 0.0000 0.5000 0.0000
Tl3 Tl 0.5000 0.0000 0.0000
Zn1 Zn 0.0000 0.0000 0.0000
Te1 Te 0.2299 0.2299 0.7446
Te2 Te 0.2299 0.7446 0.2299
Te3 Te 0.2554 0.7701 0.7701
Te4 Te 0.2602 0.2602 0.2602
Te5 Te 0.7398 0.7398 0.7398
Te6 Te 0.7446 0.2299 0.2299
Te7 Te 0.7701 0.2554 0.7701
Te8 Te 0.7701 0.7701 0.2554
```

Most intense lines, 2θ = 5–70°, by intensity:
2θ 27.6, I 100; 2θ 37.3, I 39; 2θ 41.4, I 36; 2θ 50.5, I 19; 2θ 67.3, I 16; 2θ 61.4, I 15; 2θ 56.9, I 14; 2θ 13.7, I 12; 2θ 10.6, I 10; 2θ 43.3, I 10


# 9
For Tm2Pa2Te7, a DFT-relaxed cell (GGA-PBE, Alexandria) gives the calculated XRD peak list in this record (copper Kα).

Atomic structure:
```
data_Tm2Pa2Te7
_chemical_formula_sum 'Tm2 Pa2 Te7'
_cell_length_a 9.5359
_cell_length_b 9.5359
_cell_length_c 9.5359
_cell_angle_alpha 154.28
_cell_angle_beta 67.73
_cell_angle_gamma 118.56
_symmetry_space_group_name_H-M 'P 1'
_symmetry_Int_Tables_number 1
_symmetry_space_group_name_Hall 'P 1'
loop_
_atom_site_label
_atom_site_type_symbol
_atom_site_fract_x
_atom_site_fract_y
_atom_site_fract_z
Tm1 Tm 0.0000 0.0000 0.0000
Tm2 Tm 0.5417 0.0417 0.5000
Pa1 Pa 0.4600 0.2213 0.2387
Pa2 Pa 0.9826 0.2213 0.7613
Te1 Te 0.1721 0.5304 0.6417
Te2 Te 0.2484 0.9275 0.3209
Te3 Te 0.3093 0.3093 0.0000
Te4 Te 0.6066 0.9275 0.6791
Te5 Te 0.6103 0.7195 0.8908
Te6 Te 0.8286 0.7195 0.1092
Te7 Te 0.8886 0.5304 0.3583
```

Most intense lines, 2θ = 5–70°, by intensity:
2θ 32.3, I 100; 2θ 36.6, I 58; 2θ 32.7, I 31; 2θ 38.8, I 31; 2θ 28.5, I 30; 2θ 42.6, I 29; 2θ 21.4, I 25; 2θ 57.0, I 21; 2θ 29.7, I 19; 2θ 59.0, I 18


# 10
For UPa3Te6, a DFT-relaxed cell (GGA-PBE, Alexandria) gives the calculated XRD peak list in this record (copper Kα).

Atomic structure:
```
data_UPa3Te6
_chemical_formula_sum 'U1 Pa3 Te6'
_cell_length_a 9.7152
_cell_length_b 9.7152
_cell_length_c 4.2567
_cell_angle_alpha 90.00
_cell_angle_beta 90.00
_cell_angle_gamma 110.33
_symmetry_space_group_name_H-M 'P 1'
_symmetry_Int_Tables_number 1
_symmetry_space_group_name_Hall 'P 1'
loop_
_atom_site_label
_atom_site_type_symbol
_atom_site_fract_x
_atom_site_fract_y
_atom_site_fract_z
U1 U 0.0000 0.0000 0.0000
Pa1 Pa 0.0000 0.5000 0.5000
Pa2 Pa 0.5000 0.0000 0.5000
Pa3 Pa 0.5000 0.5000 0.0000
Te1 Te 0.1551 0.8449 0.5000
Te2 Te 0.1691 0.3979 0.0000
Te3 Te 0.3979 0.1691 0.0000
Te4 Te 0.6021 0.8309 0.0000
Te5 Te 0.8309 0.6021 0.0000
Te6 Te 0.8449 0.1551 0.5000
```

Most intense lines, 2θ = 5–70°, by intensity:
2θ 34.8, I 100; 2θ 23.7, I 64; 2θ 19.5, I 50; 2θ 40.4, I 32; 2θ 37.5, I 30; 2θ 32.3, I 29; 2θ 57.9, I 17; 2θ 42.5, I 17; 2θ 59.2, I 15; 2θ 54.3, I 14


# 11
For PaVTe, a DFT-relaxed cell (GGA-PBE, Alexandria) gives the calculated XRD peak list in this record (copper Kα).

Atomic structure:
```
data_PaVTe
_chemical_formula_sum 'Pa4 V4 Te4'
_cell_length_a 7.7135
_cell_length_b 6.1859
_cell_length_c 6.0157
_cell_angle_alpha 90.00
_cell_angle_beta 90.00
_cell_angle_gamma 90.00
_symmetry_space_group_name_H-M 'P 1'
_symmetry_Int_Tables_number 1
_symmetry_space_group_name_Hall 'P 1'
loop_
_atom_site_label
_atom_site_type_symbol
_atom_site_fract_x
_atom_site_fract_y
_atom_site_fract_z
Pa1 Pa 0.2490 0.9996 0.2500
Pa2 Pa 0.2490 0.5004 0.7500
Pa3 Pa 0.7510 0.0004 0.7500
Pa4 Pa 0.7510 0.4996 0.2500
V1 V 0.5000 0.2497 0.2500
V2 V 0.5000 0.2503 0.7500
V3 V 0.5000 0.7497 0.2500
V4 V 0.5000 0.7503 0.7500
Te1 Te 0.1825 0.0004 0.7500
Te2 Te 0.1825 0.4996 0.2500
Te3 Te 0.8175 0.9996 0.2500
Te4 Te 0.8175 0.5004 0.7500
```

Most intense lines, 2θ = 5–70°, by intensity:
2θ 29.7, I 100; 2θ 37.3, I 88; 2θ 48.4, I 84; 2θ 23.1, I 76; 2θ 28.9, I 60; 2θ 23.6, I 53; 2θ 41.9, I 45; 2θ 37.9, I 43; 2θ 40.9, I 38; 2θ 31.1, I 30


# 12
For YPa2Te6, a DFT-relaxed cell (GGA-PBE, Alexandria) gives the calculated XRD peak list in this record (copper Kα).

Atomic structure:
```
data_YPa2Te6
_chemical_formula_sum 'Y2 Pa4 Te12'
_cell_length_a 7.2938
_cell_length_b 7.2938
_cell_length_c 13.2630
_cell_angle_alpha 90.00
_cell_angle_beta 90.00
_cell_angle_gamma 90.00
_symmetry_space_group_name_H-M 'P 1'
_symmetry_Int_Tables_number 1
_symmetry_space_group_name_Hall 'P 1'
loop_
_atom_site_label
_atom_site_type_symbol
_atom_site_fract_x
_atom_site_fract_y
_atom_site_fract_z
Y1 Y 0.0000 0.0000 0.0000
Y2 Y 0.5000 0.5000 0.5000
Pa1 Pa 0.0000 0.0000 0.3335
Pa2 Pa 0.0000 0.0000 0.6665
Pa3 Pa 0.5000 0.5000 0.1665
Pa4 Pa 0.5000 0.5000 0.8335
Te1 Te 0.1992 0.1992 0.5000
Te2 Te 0.2031 0.2031 0.1694
Te3 Te 0.2031 0.2031 0.8306
Te4 Te 0.2969 0.7031 0.3306
Te5 Te 0.2969 0.7031 0.6694
Te6 Te 0.3008 0.6992 0.0000
Te7 Te 0.6992 0.3008 0.0000
Te8 Te 0.7031 0.2969 0.3306
Te9 Te 0.7031 0.2969 0.6694
Te10 Te 0.7969 0.7969 0.1694
Te11 Te 0.7969 0.7969 0.8306
Te12 Te 0.8008 0.8008 0.5000
```

Most intense lines, 2θ = 5–70°, by intensity:
2θ 34.2, I 100; 2θ 17.2, I 94; 2θ 26.6, I 85; 2θ 42.4, I 67; 2θ 34.8, I 50; 2θ 27.3, I 28; 2θ 54.7, I 27; 2θ 23.5, I 25; 2θ 40.8, I 24; 2θ 44.6, I 18


# 13
For Th3Pa, a DFT-relaxed cell (GGA-PBE, Alexandria) gives the calculated XRD peak list in this record (copper Kα).

Atomic structure:
```
data_Th3Pa
_chemical_formula_sum 'Th3 Pa1'
_cell_length_a 3.4276
_cell_length_b 5.8873
_cell_length_c 5.9914
_cell_angle_alpha 90.00
_cell_angle_beta 90.00
_cell_angle_gamma 90.00
_symmetry_space_group_name_H-M 'P 1'
_symmetry_Int_Tables_number 1
_symmetry_space_group_name_Hall 'P 1'
loop_
_atom_site_label
_atom_site_type_symbol
_atom_site_fract_x
_atom_site_fract_y
_atom_site_fract_z
Th1 Th 0.0000 0.0000 0.0000
Th2 Th 0.0000 0.5000 0.3296
Th3 Th 0.5000 0.5000 0.8182
Pa1 Pa 0.5000 0.0000 0.4992
```

Most intense lines, 2θ = 5–70°, by intensity:
2θ 33.8, I 100; 2θ 33.6, I 56; 2θ 30.4, I 45; 2θ 62.4, I 27; 2θ 30.0, I 26; 2θ 56.1, I 24; 2θ 53.1, I 19; 2θ 43.2, I 19; 2θ 64.6, I 18; 2θ 56.0, I 13